(1)
Theoretical PXRD pattern of Mg2Zn2Ag5 for λ = 1.5418 Å (Cu Kα), from the PBE geometry in Alexandria.
Peak positions follow from Bragg's law for the DFT cell and can differ from measured ones.

Unit cell a=5.7643 b=17.3840 c=6.6911 alpha=90.00 beta=90.00 gamma=90.00
Space group Imma (No. 74)
Asymmetric unit:
Mg 0.0000 0.0000 0.0000 (multiplicity 4)
Mg 0.0000 0.2500 0.0479 (multiplicity 4)
Zn 0.0000 0.0642 0.5634 (multiplicity 8)
Ag 0.0000 0.2500 0.4504 (multiplicity 4)
Ag 0.2500 0.1198 0.2500 (multiplicity 8)
Ag 0.2500 0.1648 0.7500 (multiplicity 8)

Principal peaks in the range 2θ from 15° to 90°, by intensity:
- 37.41 deg, 2.404 Å, intensity 100.0, hkl 2 4 0
- 41.35 deg, 2.184 Å, intensity 91.5, hkl 2 0 2
- 33.81 deg, 2.651 Å, intensity 78.4, hkl 0 4 2
- 20.33 deg, 4.369 Å, intensity 49.7, hkl 1 0 1
- 38.67 deg, 2.328 Å, intensity 44.4, hkl 0 7 1
- 43.48 deg, 2.081 Å, intensity 27.8, hkl 0 3 3
- 64.83 deg, 1.438 Å, intensity 26.5, hkl 2 7 3
- 44.33 deg, 2.043 Å, intensity 25.2, hkl 2 6 0
- 41.22 deg, 2.190 Å, intensity 22.9, hkl 0 6 2
- 37.24 deg, 2.414 Å, intensity 22.5, hkl 1 6 1
- 50.38 deg, 1.811 Å, intensity 21.1, hkl 2 7 1
- 20.44 deg, 4.346 Å, intensity 21.1, hkl 0 4 0

(2)
Theoretical PXRD pattern of Mg2ZnAg3 for λ = 1.5418 Å (Cu Kα), from the PBE geometry in Alexandria.
Peak positions follow from Bragg's law for the DFT cell and can differ from measured ones.

Unit cell a=4.5996 b=13.7942 c=6.6617 alpha=90.00 beta=90.00 gamma=90.00
Space group Cmmm (No. 65)
Asymmetric unit:
Mg 0.0000 0.0000 0.0000 (multiplicity 2)
Mg 0.0000 0.0000 0.5000 (multiplicity 2)
Mg 0.0000 0.3347 0.0000 (multiplicity 4)
Zn 0.0000 0.3389 0.5000 (multiplicity 4)
Ag 0.0000 0.1717 0.2635 (multiplicity 8)
Ag 0.0000 0.5000 0.2518 (multiplicity 4)

Principal peaks in the range 2θ from 15° to 90°, by intensity:
- 38.70 deg, 2.327 Å, intensity 100.0, hkl 1 3 2
- 39.18 deg, 2.299 Å, intensity 48.6, hkl 2 0 0
- 70.68 deg, 1.333 Å, intensity 30.7, hkl 3 3 2
- 27.43 deg, 3.252 Å, intensity 27.9, hkl 1 3 0
- 56.61 deg, 1.626 Å, intensity 15.5, hkl 2 6 0
- 69.72 deg, 1.349 Å, intensity 15.4, hkl 2 0 4
- 26.76 deg, 3.331 Å, intensity 14.5, hkl 0 0 2
- 48.08 deg, 1.892 Å, intensity 11.0, hkl 2 0 2
- 83.00 deg, 1.163 Å, intensity 9.4, hkl 2 6 4
- 55.15 deg, 1.665 Å, intensity 8.2, hkl 0 0 4
- 84.22 deg, 1.150 Å, intensity 4.7, hkl 4 0 0
- 64.02 deg, 1.454 Å, intensity 4.5, hkl 3 3 0

(3)
Theoretical PXRD pattern of Mg2ZnAg3 for λ = 1.5418 Å (Cu Kα), from the PBE geometry in Alexandria.
Peak positions follow from Bragg's law for the DFT cell and can differ from measured ones.

Unit cell a=4.4556 b=13.1967 c=3.6046 alpha=90.00 beta=90.00 gamma=90.00
Space group Cmmm (No. 65)
Asymmetric unit:
Mg 0.0000 0.1652 0.0000 (multiplicity 4)
Zn 0.0000 0.5000 0.0000 (multiplicity 2)
Ag 0.0000 0.0000 0.5000 (multiplicity 2)
Ag 0.0000 0.3379 0.5000 (multiplicity 4)

Principal peaks in the range 2θ from 15° to 90°, by intensity:
- 38.07 deg, 2.364 Å, intensity 100.0, hkl 1 3 1
- 28.51 deg, 3.130 Å, intensity 23.7, hkl 1 3 0
- 40.49 deg, 2.228 Å, intensity 21.0, hkl 2 0 0
- 41.04 deg, 2.199 Å, intensity 19.9, hkl 0 6 0
- 24.70 deg, 3.605 Å, intensity 17.1, hkl 0 0 1
- 72.05 deg, 1.311 Å, intensity 14.0, hkl 3 3 1
- 72.79 deg, 1.299 Å, intensity 13.2, hkl 1 9 1
- 59.02 deg, 1.565 Å, intensity 12.9, hkl 2 6 0
- 50.65 deg, 1.802 Å, intensity 10.6, hkl 0 0 2
- 67.16 deg, 1.394 Å, intensity 10.3, hkl 0 6 2
- 81.44 deg, 1.182 Å, intensity 9.9, hkl 2 6 2
- 66.76 deg, 1.401 Å, intensity 8.9, hkl 2 0 2

(4)
Theoretical PXRD pattern of MgZrAg2 for λ = 1.5418 Å (Cu Kα), from the PBE geometry in Alexandria.
Peak positions follow from Bragg's law for the DFT cell and can differ from measured ones.

Unit cell a=2.9713 b=4.7421 c=5.7712 alpha=90.00 beta=104.24 gamma=90.00
Space group Pm (No. 6)
Asymmetric unit:
Mg 0.0000 0.0000 0.0000 (multiplicity 1)
Zr 0.6851 0.5000 0.3508 (multiplicity 1)
Ag 0.2734 0.0000 0.5341 (multiplicity 1)
Ag 0.4089 0.5000 0.8326 (multiplicity 1)

Principal peaks in the range 2θ from 15° to 90°, by intensity:
- 37.33 deg, 2.409 Å, intensity 100.0, hkl 0 1 2
- 37.95 deg, 2.371 Å, intensity 56.7, hkl 0 2 0
- 36.66 deg, 2.451 Å, intensity 49.7, hkl 1 1 -1
- 36.50 deg, 2.462 Å, intensity 41.0, hkl 1 1 0
- 15.84 deg, 5.594 Å, intensity 38.1, hkl 0 0 1
- 43.15 deg, 2.096 Å, intensity 38.1, hkl 1 1 1
- 43.57 deg, 2.077 Å, intensity 34.5, hkl 1 1 -2
- 75.53 deg, 1.259 Å, intensity 25.3, hkl 2 2 -1
- 24.61 deg, 3.617 Å, intensity 21.5, hkl 0 1 1
- 31.24 deg, 2.863 Å, intensity 19.4, hkl 1 0 -1
- 31.05 deg, 2.880 Å, intensity 18.7, hkl 1 0 0
- 68.14 deg, 1.376 Å, intensity 16.5, hkl 0 3 2

(5)
Theoretical PXRD pattern of Mg4ZrAg for λ = 1.5418 Å (Cu Kα), from the PBE geometry in Alexandria.
Peak positions follow from Bragg's law for the DFT cell and can differ from measured ones.

Unit cell a=3.1868 b=3.1868 c=12.5182 alpha=90.00 beta=90.00 gamma=90.00
Space group P4/mmm (No. 123)
Asymmetric unit:
Mg 0.0000 0.0000 0.1434 (multiplicity 2)
Mg 0.5000 0.5000 0.3236 (multiplicity 2)
Zr 0.0000 0.0000 0.5000 (multiplicity 1)
Ag 0.5000 0.5000 0.0000 (multiplicity 1)

Principal peaks in the range 2θ from 15° to 90°, by intensity:
- 35.44 deg, 2.533 Å, intensity 100.0, hkl 1 0 3
- 28.91 deg, 3.088 Å, intensity 42.8, hkl 1 0 1
- 40.01 deg, 2.253 Å, intensity 36.7, hkl 1 1 0
- 69.73 deg, 1.349 Å, intensity 25.5, hkl 2 1 3
- 60.47 deg, 1.531 Å, intensity 17.8, hkl 1 1 6
- 42.64 deg, 2.120 Å, intensity 17.0, hkl 1 1 2
- 46.11 deg, 1.969 Å, intensity 16.1, hkl 1 0 5
- 43.37 deg, 2.086 Å, intensity 12.5, hkl 0 0 6
- 57.87 deg, 1.593 Å, intensity 11.9, hkl 2 0 0
- 28.52 deg, 3.130 Å, intensity 10.3, hkl 0 0 4
- 75.00 deg, 1.266 Å, intensity 9.2, hkl 2 0 6
- 49.87 deg, 1.829 Å, intensity 8.4, hkl 1 1 4

(6)
Theoretical PXRD pattern of Mn3Ag for λ = 1.5418 Å (Cu Kα), from the PBE geometry in Alexandria.
Peak positions follow from Bragg's law for the DFT cell and can differ from measured ones.

Unit cell a=2.7267 b=2.7267 c=7.4818 alpha=90.00 beta=90.00 gamma=90.00
Space group P4/mmm (No. 123)
Asymmetric unit:
Mn 0.0000 0.0000 0.0000 (multiplicity 1)
Mn 0.5000 0.5000 0.2151 (multiplicity 2)
Ag 0.0000 0.0000 0.5000 (multiplicity 1)

Principal peaks in the range 2θ from 15° to 90°, by intensity:
- 40.96 deg, 2.203 Å, intensity 100.0, hkl 1 0 2
- 47.14 deg, 1.928 Å, intensity 35.0, hkl 1 1 0
- 83.36 deg, 1.159 Å, intensity 22.1, hkl 2 1 2
- 70.09 deg, 1.342 Å, intensity 14.7, hkl 1 1 4
- 35.03 deg, 2.562 Å, intensity 14.1, hkl 1 0 1
- 48.69 deg, 1.870 Å, intensity 12.5, hkl 0 0 4
- 68.87 deg, 1.363 Å, intensity 10.3, hkl 2 0 0
- 36.01 deg, 2.494 Å, intensity 7.8, hkl 0 0 3
- 88.81 deg, 1.102 Å, intensity 7.6, hkl 2 0 4
- 23.79 deg, 3.741 Å, intensity 6.5, hkl 0 0 2
- 60.72 deg, 1.525 Å, intensity 6.3, hkl 1 1 3
- 71.99 deg, 1.312 Å, intensity 5.7, hkl 1 0 5

(7)
Theoretical PXRD pattern of Mn5Ag4 for λ = 1.5418 Å (Cu Kα), from the PBE geometry in Alexandria.
Peak positions follow from Bragg's law for the DFT cell and can differ from measured ones.

Unit cell a=8.5927 b=8.5927 c=3.9727 alpha=90.00 beta=90.00 gamma=90.00
Space group I4/mmm (No. 139)
Asymmetric unit:
Mn 0.0000 0.0000 0.0000 (multiplicity 2)
Mn 0.1632 0.1632 0.5000 (multiplicity 8)
Ag 0.0000 0.3251 0.0000 (multiplicity 8)

Principal peaks in the range 2θ from 15° to 90°, by intensity:
- 38.76 deg, 2.323 Å, intensity 100.0, hkl 3 0 1
- 44.75 deg, 2.025 Å, intensity 32.2, hkl 3 3 0
- 78.45 deg, 1.219 Å, intensity 21.6, hkl 6 3 1
- 65.86 deg, 1.418 Å, intensity 18.7, hkl 3 3 2
- 45.67 deg, 1.986 Å, intensity 15.4, hkl 0 0 2
- 79.79 deg, 1.202 Å, intensity 10.7, hkl 3 0 3
- 32.41 deg, 2.762 Å, intensity 9.6, hkl 2 1 1
- 65.14 deg, 1.432 Å, intensity 9.5, hkl 6 0 0
- 83.15 deg, 1.162 Å, intensity 9.4, hkl 6 0 2
- 29.40 deg, 3.038 Å, intensity 5.1, hkl 2 2 0
- 62.75 deg, 1.481 Å, intensity 3.3, hkl 5 2 1
- 24.69 deg, 3.606 Å, intensity 2.4, hkl 1 0 1

(8)
Theoretical PXRD pattern of Mn5Ag for λ = 1.5418 Å (Cu Kα), from the PBE geometry in Alexandria.
Peak positions follow from Bragg's law for the DFT cell and can differ from measured ones.

Unit cell a=4.1344 b=2.6738 c=14.0846 alpha=90.00 beta=90.00 gamma=90.00
Space group Amm2 (No. 38)
Asymmetric unit:
Mn 0.0000 0.0000 0.0000 (multiplicity 2)
Mn 0.0000 0.0000 0.2933 (multiplicity 2)
Mn 0.0000 0.0000 0.6466 (multiplicity 2)
Mn 0.5000 0.0000 0.1908 (multiplicity 2)
Mn 0.5000 0.0000 0.5513 (multiplicity 2)
Ag 0.5000 0.0000 0.8749 (multiplicity 2)

Principal peaks in the range 2θ from 15° to 90°, by intensity:
- 44.74 deg, 2.025 Å, intensity 100.0, hkl 1 1 3
- 44.38 deg, 2.041 Å, intensity 48.6, hkl 1 0 6
- 43.79 deg, 2.067 Å, intensity 39.3, hkl 2 0 0
- 38.76 deg, 2.323 Å, intensity 32.4, hkl 0 1 3
- 33.43 deg, 2.681 Å, intensity 18.5, hkl 1 0 4
- 59.89 deg, 1.544 Å, intensity 16.4, hkl 2 1 3
- 81.14 deg, 1.185 Å, intensity 15.3, hkl 3 1 3
- 87.15 deg, 1.118 Å, intensity 12.2, hkl 1 2 6
- 85.97 deg, 1.131 Å, intensity 11.0, hkl 2 1 9
- 24.97 deg, 3.565 Å, intensity 10.4, hkl 1 0 2
- 38.34 deg, 2.347 Å, intensity 10.1, hkl 0 0 6
- 86.74 deg, 1.123 Å, intensity 10.0, hkl 2 2 0